Starting from a crystal structure in OQMD, relaxed with PBE, the PXRD pattern of AgAs5W3 was calculated for Cu Ka.
No peak broadening, texture or thermal motion is included.

Structure:
```
AgAs5W3
1.0
5.3764 0.0000 0.0000
-2.6882 4.6561 0.0000
0.0000 0.0000 7.6795
Ag As W
1 5 3
Cartesian
0.0000 0.0000 0.0000
0.0000 0.0000 3.8397
0.0000 3.1041 1.6618
0.0000 3.1041 6.0177
2.6882 1.5520 1.6618
2.6882 1.5520 6.0177
-1.3441 2.3280 3.8397
2.6882 0.0000 3.8397
1.3441 2.3280 3.8397
```

Main lines, by intensity (2θ from 10° to 90°):
| two_theta | I/Imax |
| --- | --- |
| 11.52 | 100 |
| 45.57 | 82 |
| 40.49 | 44 |
| 38.68 | 29 |
| 22.33 | 24 |
| 23.16 | 21 |
| 35.05 | 18 |
| 35.38 | 17 |
| 62.73 | 17 |
| 70.00 | 16 |